[1]
Structure and calculated powder diffraction line list of LiZr3N4 (a structure optimized by DFT (PBE); λ = 1.5418 Å (Cu Kα)).
Lines closer than 0.1° are merged.

Peak list (10 most intense, 15° ≤ 2θ ≤ 90°, in order of rising 2θ)
| 2θ (°) | I_rel |
| --- | --- |
| 19.44 | 154 |
| 21.84 | 484 |
| 34.11 | 1000 |
| 39.48 | 354 |
| 39.64 | 701 |
| 57.19 | 442 |
| 57.31 | 220 |
| 68.18 | 143 |
| 68.40 | 282 |
| 71.82 | 212 |

Structural model:
```
LiZr3N4
1.0
-2.274 2.274 4.565
2.274 -2.274 4.565
2.274 2.274 -4.565
Li Zr N
1 3 4
direct
0.000 0.000 0.000
0.250 0.750 0.500
0.500 0.500 0.000
0.750 0.250 0.500
0.000 0.500 0.500
0.258 0.258 0.000
0.500 0.000 0.500
0.742 0.742 0.000
```

---

[2]
Structure and calculated powder diffraction line list of Na7Li2 (a structure optimized by DFT (PBE); λ = 1.5418 Å (Cu Kα)).
Lines closer than 0.1° are merged.

Peak list (10 most intense, 15° ≤ 2θ ≤ 90°, in order of rising 2θ)
| 2θ (°) | I_rel |
| --- | --- |
| 30.29 | 1000 |
| 30.71 | 292 |
| 35.24 | 617 |
| 50.42 | 207 |
| 50.97 | 218 |
| 59.96 | 122 |
| 60.21 | 220 |
| 60.70 | 101 |
| 63.01 | 97 |
| 82.09 | 82 |

Structural model:
```
Na7Li2
1.0
6.270 0.000 0.000
-3.135 5.430 0.000
0.000 0.000 8.733
Na Li
7 2
direct
0.000 0.000 0.000
0.000 0.339 0.678
0.000 0.661 0.322
0.339 0.000 0.678
0.339 0.339 0.322
0.661 0.000 0.322
0.661 0.661 0.678
0.333 0.667 0.000
0.667 0.333 0.000
```

---

[3]
Structure and calculated powder diffraction line list of Na2Li13 (a structure optimized by DFT (PBE); λ = 1.5418 Å (Cu Kα)).
Lines closer than 0.1° are merged.

Peak list (10 most intense, 15° ≤ 2θ ≤ 90°, in order of rising 2θ)
| 2θ (°) | I_rel |
| --- | --- |
| 20.30 | 279 |
| 21.70 | 655 |
| 26.38 | 410 |
| 29.89 | 428 |
| 32.60 | 371 |
| 34.41 | 362 |
| 34.68 | 505 |
| 37.23 | 1000 |
| 39.24 | 232 |
| 44.22 | 284 |

Structural model:
```
Na2Li13
1.0
4.096 2.365 7.407
-4.096 2.365 7.407
0.000 -4.730 7.407
Na Li
2 13
direct
0.241 0.241 0.241
0.759 0.759 0.759
0.000 0.000 0.000
0.013 0.013 0.655
0.013 0.655 0.013
0.234 0.234 0.621
0.234 0.621 0.234
0.345 0.987 0.987
0.379 0.766 0.766
0.621 0.234 0.234
0.655 0.013 0.013
0.766 0.379 0.766
0.766 0.766 0.379
0.987 0.345 0.987
0.987 0.987 0.345
```